[1]
This entry pairs a crystal structure of PmTm4Ga5 with its simulated powder X-ray diffraction pattern. Radiation: copper Kα. Structure: a crystal structure in Alexandria, relaxed with GGA-PBE.
Kinematic intensities with the Lorentz-polarization factor, no thermal factor.

Atomic structure:
```
data_PmTm4Ga5
_chemical_formula_sum 'Pm1 Tm4 Ga5'
_symmetry_space_group_name_H-M 'P 4/m m m'
_symmetry_Int_Tables_number 123
_symmetry_space_group_name_Hall '-P 4 2'
_cell_length_a 3.544
_cell_length_b 3.544
_cell_length_c 17.844
_cell_angle_alpha 90.00
_cell_angle_beta 90.00
_cell_angle_gamma 90.00
loop_
_atom_site_label
_atom_site_type_symbol
_atom_site_fract_x
_atom_site_fract_y
_atom_site_fract_z
Pm1 Pm 0.000 0.000 0.000
Tm1 Tm 0.000 0.000 0.206
Tm2 Tm 0.000 0.000 0.402
Ga1 Ga 0.500 0.500 0.110
Ga2 Ga 0.500 0.500 0.305
Ga3 Ga 0.500 0.500 0.500
```

Most intense lines, 5° ≤ 2θ ≤ 70°, by angle:
- d = 3.569 Å, 24.95 deg, rel. 9, (0 0 5)
- d = 3.544 Å, 25.13 deg, rel. 18, (1 0 0)
- d = 2.515 Å, 35.71 deg, rel. 100, (1 0 5)
- d = 2.506 Å, 35.84 deg, rel. 51, (1 1 0)
- d = 2.278 Å, 39.56 deg, rel. 2, (1 0 6)
- d = 2.051 Å, 44.16 deg, rel. 8, (1 1 5)
- d = 1.784 Å, 51.19 deg, rel. 8, (0 0 10)
- d = 1.772 Å, 51.58 deg, rel. 18, (2 0 0)
- d = 1.594 Å, 57.86 deg, rel. 4, (1 0 10)
- d = 1.586 Å, 58.17 deg, rel. 8, (2 0 5)
- d = 1.453 Å, 64.06 deg, rel. 17, (1 1 10)
- d = 1.448 Å, 64.32 deg, rel. 36, (2 1 5)



[2]
This entry pairs a crystal structure of Cu4Bi5S10 with its simulated powder X-ray diffraction pattern. Radiation: copper Kα. Structure: a crystal structure in Alexandria, relaxed with GGA-PBE.
Kinematic intensities with the Lorentz-polarization factor, no thermal factor.

Atomic structure:
```
data_Cu4Bi5S10
_chemical_formula_sum 'Cu8 Bi10 S20'
_symmetry_space_group_name_H-M 'C 1 2/m 1'
_symmetry_Int_Tables_number 12
_cell_length_a 17.707
_cell_length_b 3.895
_cell_length_c 12.927
_cell_angle_alpha 90.00
_cell_angle_beta 107.44
_cell_angle_gamma 90.00
loop_
_symmetry_equiv_pos_as_xyz
'x,y,z'
'-x,-y,-z'
'-x,y,-z'
'x,-y,z'
'x+1/2,y+1/2,z'
'-x+1/2,-y+1/2,-z'
'-x+1/2,y+1/2,-z'
'x+1/2,-y+1/2,z'
loop_
_atom_site_label
_atom_site_type_symbol
_atom_site_fract_x
_atom_site_fract_y
_atom_site_fract_z
Cu1 Cu 0.096 0.000 0.009
Cu2 Cu 0.215 0.500 0.553
Bi1 Bi 0.000 0.000 0.500
Bi2 Bi 0.088 0.500 0.275
Bi3 Bi 0.200 0.000 0.837
S1 S 0.024 0.000 0.132
S2 S 0.042 0.500 0.666
S3 S 0.153 0.000 0.472
S4 S 0.164 0.500 0.002
S5 S 0.240 0.000 0.262
```

Most intense lines, 5° ≤ 2θ ≤ 70°, by angle:
- d = 6.161 Å, 14.38 deg, rel. 37, (2 0 1)
- d = 4.107 Å, 21.64 deg, rel. 32, (4 0 -2)
- d = 3.672 Å, 24.24 deg, rel. 62, (4 0 1)
- d = 3.520 Å, 25.30 deg, rel. 36, (4 0 -3)
- d = 3.238 Å, 27.55 deg, rel. 30, (3 1 -1)
- d = 3.224 Å, 27.67 deg, rel. 34, (2 0 -4)
- d = 3.139 Å, 28.43 deg, rel. 100, (1 1 2)
- d = 3.064 Å, 29.14 deg, rel. 63, (3 1 -2)
- d = 2.699 Å, 33.19 deg, rel. 45, (1 1 3)
- d = 2.552 Å, 35.16 deg, rel. 35, (5 1 0)
- d = 2.138 Å, 42.28 deg, rel. 46, (3 1 -5)
- d = 1.947 Å, 46.66 deg, rel. 52, (0 2 0)



[3]
This entry pairs a crystal structure of CeH6RuAu with its simulated powder X-ray diffraction pattern. Radiation: copper Kα. Structure: a crystal structure in Alexandria, relaxed with GGA-PBE.
Kinematic intensities with the Lorentz-polarization factor, no thermal factor.

Atomic structure:
```
data_CeH6RuAu
_chemical_formula_sum 'Ce1 H6 Ru1 Au1'
_symmetry_space_group_name_H-M 'P 3'
_symmetry_Int_Tables_number 143
_cell_length_a 4.7979
_cell_length_b 4.7979
_cell_length_c 4.2703
_cell_angle_alpha 90.00
_cell_angle_beta 90.00
_cell_angle_gamma 120.00
loop_
_symmetry_equiv_pos_as_xyz
'x,y,z'
'-y,x-y,z'
'-x+y,-x,z'
loop_
_atom_site_label
_atom_site_type_symbol
_atom_site_fract_x
_atom_site_fract_y
_atom_site_fract_z
Ce1 Ce 0.0000 0.0000 0.0000
H1 H 0.3145 0.0669 0.4813
H2 H 0.5023 0.4747 0.9530
Ru1 Ru 0.6667 0.3333 0.6947
Au1 Au 0.3333 0.6667 0.4670
```

Most intense lines, 5° ≤ 2θ ≤ 70°, by angle:
- d = 4.270 Å, 20.80 deg, rel. 5, (0 0 1)
- d = 4.155 Å, 21.38 deg, rel. 7, (1 0 0)
- d = 2.978 Å, 30.01 deg, rel. 100, (0 1 1)
- d = 2.399 Å, 37.49 deg, rel. 55, (1 1 0)
- d = 2.092 Å, 43.26 deg, rel. 4, (1 1 1)
- d = 1.899 Å, 47.90 deg, rel. 21, (1 0 2)
- d = 1.868 Å, 48.74 deg, rel. 27, (2 0 1)
- d = 1.595 Å, 57.81 deg, rel. 10, (1 1 2)
- d = 1.489 Å, 62.36 deg, rel. 10, (0 2 2)
- d = 1.474 Å, 63.07 deg, rel. 25, (1 2 1)
- d = 1.385 Å, 67.64 deg, rel. 10, (3 0 0)
- d = 1.347 Å, 69.85 deg, rel. 8, (1 0 3)



> Number 1 is which compound?

PmTm4Ga5